For Ho2Si2O7, the PBE geometry in the Materials Project gives the simulated XRD peak list in this record (Cu Kα X-rays).
Kinematic intensities with the Lorentz-polarization factor, no thermal factor.

Main lines, by angle (2θ = 15–90°):
- hkl -1 1 1, 2θ = 20.16°, I = 100
- hkl 0 2 0, 2θ = 26.79°, I = 34
- hkl 0 0 4, 2θ = 29.58°, I = 97
- hkl 0 2 -2, 2θ = 29.68°, I = 34
- hkl 2 0 -2, 2θ = 30.38°, I = 36
- hkl 2 1 0, 2θ = 30.55°, I = 35
- hkl -1 2 1, 2θ = 30.91°, I = 30
- hkl 2 1 1, 2θ = 31.93°, I = 37
- hkl 1 2 -2, 2θ = 32.94°, I = 33
- hkl 2 1 5, 2θ = 50.42°, I = 35

Structure:
Lattice parameters (Å, degrees): 6.639 6.671 12.119 94.28 91.49 92.11
Space group P-1 (No. 2)
Unique sites:
Ho1 0.050 0.328 0.115
Ho2 0.118 0.090 0.356
Ho3 0.326 0.827 0.110
Ho4 0.367 0.215 0.634
Si1 0.144 0.625 0.378
Si2 0.156 0.148 0.885
Si3 0.377 0.724 0.594
Si4 0.487 0.665 0.825
O1 0.000 0.333 0.918
O2 0.001 0.985 0.815
O3 0.038 0.228 0.582
O4 0.076 0.414 0.309
O5 0.226 0.903 0.623
O6 0.230 0.083 0.006
O7 0.283 0.574 0.488
O8 0.290 0.782 0.312
O9 0.299 0.705 0.906
O10 0.350 0.209 0.815
O11 0.354 0.488 0.126
O12 0.384 0.136 0.212
O13 0.401 0.566 0.694
O14 0.413 0.175 0.448